# 1
Calculated powder diffraction line list
Compound: V2OF5
Radiation: Cu Kα (weighted mean of Kα1 and Kα2)
Structure: the PBE+U geometry in the Materials Project
Kinematic intensities with the Lorentz-polarization factor, no thermal factor.

Largest 8 diffraction maxima, in order of rising 2θ, 10° ≤ 2θ ≤ 80°:
two_theta, Rel. int.
21.04, 100
28.71, 85
28.87, 84
41.86, 23
42.08, 46
54.87, 24
55.14, 23
55.27, 22

Cell and atoms:
```
V2OF5
1.0
4.569 0.000 0.000
-0.038 8.433 0.000
-0.028 -4.201 7.324
V O F
6 3 15
direct
0.000 0.000 0.000
0.000 0.333 0.667
0.466 0.645 0.980
0.467 0.311 0.312
0.501 0.972 0.650
0.963 0.662 0.340
0.232 0.192 0.120
0.233 0.524 0.787
0.734 0.782 0.530
0.228 0.192 0.750
0.230 0.566 0.120
0.231 0.223 0.446
0.233 0.865 0.087
0.234 0.870 0.442
0.234 0.887 0.775
0.235 0.536 0.421
0.730 0.436 0.874
0.731 0.080 0.876
0.732 0.102 0.208
0.732 0.113 0.573
0.732 0.742 0.201
0.732 0.774 0.904
0.734 0.434 0.228
0.735 0.411 0.538
```


# 2
Calculated powder diffraction line list
Compound: V4O7F5
Radiation: Cu Kα (weighted mean of Kα1 and Kα2)
Structure: the PBE+U geometry in the Materials Project
Kinematic intensities with the Lorentz-polarization factor, no thermal factor.

Largest 8 diffraction maxima, in order of rising 2θ, 10° ≤ 2θ ≤ 80°:
two_theta, Rel. int.
23.58, 99
23.76, 100
24.22, 99
48.24, 19
48.63, 23
49.63, 19
54.21, 22
55.18, 19

Cell and atoms:
```
V4O7F5
1.0
5.261 0.000 0.000
0.041 5.374 0.000
0.008 0.215 7.348
V O F
4 7 5
direct
0.000 0.000 0.000
0.035 0.067 0.492
0.491 0.509 0.047
0.555 0.541 0.551
0.111 0.035 0.272
0.255 0.321 0.992
0.461 0.533 0.275
0.608 0.537 0.776
0.824 0.753 0.057
0.839 0.319 0.485
0.964 0.031 0.774
0.244 0.754 0.560
0.328 0.827 0.983
0.333 0.238 0.568
0.747 0.840 0.479
0.751 0.250 0.069
```


# 3
Calculated powder diffraction line list
Compound: V2OF5
Radiation: Cu Kα (weighted mean of Kα1 and Kα2)
Structure: the PBE+U geometry in the Materials Project
Kinematic intensities with the Lorentz-polarization factor, no thermal factor.

Largest 8 diffraction maxima, in order of rising 2θ, 10° ≤ 2θ ≤ 80°:
two_theta, Rel. int.
23.44, 100
32.94, 12
33.82, 6
39.46, 14
47.93, 22
53.42, 21
54.61, 12
76.06, 6

Cell and atoms:
```
V2OF5
1.0
5.299 0.000 0.000
2.649 4.593 0.000
0.004 0.004 13.496
V O F
6 3 15
direct
0.000 0.000 0.000
0.004 0.976 0.492
0.309 0.345 0.333
0.329 0.351 0.826
0.629 0.676 0.159
0.652 0.656 0.667
0.206 0.695 0.417
0.347 0.759 0.083
0.412 0.551 0.750
0.050 0.267 0.417
0.068 0.666 0.916
0.236 0.093 0.912
0.318 0.923 0.583
0.407 0.993 0.253
0.576 0.415 0.249
0.579 0.981 0.756
0.635 0.097 0.422
0.646 0.255 0.920
0.745 0.327 0.579
0.749 0.927 0.089
0.906 0.757 0.586
0.921 0.340 0.083
0.978 0.586 0.245
0.992 0.397 0.750
```


# 4
Calculated powder diffraction line list
Compound: V3O4F2
Radiation: Cu Kα (weighted mean of Kα1 and Kα2)
Structure: the PBE+U geometry in the Materials Project
Kinematic intensities with the Lorentz-polarization factor, no thermal factor.

Largest 8 diffraction maxima, in order of rising 2θ, 10° ≤ 2θ ≤ 80°:
two_theta, Rel. int.
18.72, 69
20.83, 77
23.29, 100
24.12, 50
31.99, 44
32.33, 93
39.37, 38
52.05, 60

Cell and atoms:
```
V3O4F2
1.0
5.096 0.000 0.000
-2.438 4.498 0.000
-2.477 -1.559 4.740
V O F
3 4 2
direct
0.000 0.000 0.000
0.046 0.505 0.555
0.629 0.296 0.928
0.199 0.922 0.775
0.543 0.590 0.789
0.852 0.248 0.746
0.889 0.185 0.223
0.123 0.746 0.249
0.519 0.383 0.235
```


# 5
Calculated powder diffraction line list
Compound: V6O5F19
Radiation: Cu Kα (weighted mean of Kα1 and Kα2)
Structure: the PBE+U geometry in the Materials Project
Kinematic intensities with the Lorentz-polarization factor, no thermal factor.

Largest 8 diffraction maxima, in order of rising 2θ, 10° ≤ 2θ ≤ 80°:
two_theta, Rel. int.
18.22, 100
24.37, 94
25.34, 88
32.39, 15
36.91, 12
46.07, 12
48.29, 15
52.91, 12

Cell and atoms:
```
V6O5F19
1.0
5.376 0.000 0.000
0.245 5.528 0.000
0.101 2.710 14.610
V O F
6 5 19
direct
0.000 0.000 0.000
0.019 0.265 0.332
0.420 0.078 0.667
0.475 0.458 0.006
0.526 0.804 0.344
0.930 0.566 0.674
0.170 0.242 0.980
0.191 0.916 0.649
0.251 0.070 0.317
0.750 0.982 0.361
0.764 0.328 0.692
0.019 0.237 0.453
0.035 0.885 0.118
0.058 0.572 0.784
0.166 0.555 0.311
0.243 0.403 0.644
0.262 0.762 0.980
0.365 0.389 0.120
0.369 0.729 0.450
0.399 0.089 0.785
0.521 0.824 0.224
0.535 0.479 0.887
0.558 0.159 0.557
0.674 0.494 0.361
0.675 0.813 0.698
0.684 0.145 0.028
0.748 0.622 0.030
0.863 0.318 0.225
0.877 0.971 0.893
0.891 0.685 0.556
```


# 6
Calculated powder diffraction line list
Compound: V2O3F3
Radiation: Cu Kα (weighted mean of Kα1 and Kα2)
Structure: the PBE+U geometry in the Materials Project
Kinematic intensities with the Lorentz-polarization factor, no thermal factor.

Largest 8 diffraction maxima, in order of rising 2θ, 10° ≤ 2θ ≤ 80°:
two_theta, Rel. int.
23.35, 100
23.92, 54
33.35, 10
47.67, 12
47.81, 12
48.97, 11
53.59, 9
53.96, 13

Cell and atoms:
```
V2O3F3
1.0
5.283 0.000 0.000
2.572 4.638 0.000
2.438 1.509 8.821
V O F
4 6 6
direct
0.000 0.000 0.000
0.202 0.228 0.274
0.453 0.514 0.509
0.696 0.771 0.763
0.036 0.202 0.152
0.269 0.916 0.401
0.328 0.963 0.898
0.379 0.363 0.399
0.555 0.695 0.648
0.881 0.865 0.903
0.111 0.566 0.668
0.133 0.666 0.149
0.573 0.111 0.156
0.680 0.143 0.640
0.771 0.406 0.915
0.839 0.479 0.389
```


# 7
Calculated powder diffraction line list
Compound: V3O4F2
Radiation: Cu Kα (weighted mean of Kα1 and Kα2)
Structure: the PBE+U geometry in the Materials Project
Kinematic intensities with the Lorentz-polarization factor, no thermal factor.

Largest 8 diffraction maxima, in order of rising 2θ, 10° ≤ 2θ ≤ 80°:
two_theta, Rel. int.
26.73, 100
35.18, 23
35.62, 24
40.36, 12
52.58, 13
52.84, 14
53.16, 14
53.54, 15

Cell and atoms:
```
V3O4F2
1.0
3.332 -3.339 0.000
3.332 3.339 0.000
-0.169 0.000 9.022
V O F
6 8 4
direct
0.000 0.000 0.000
0.026 0.030 0.654
0.502 0.498 0.500
0.526 0.455 0.846
0.545 0.474 0.154
0.970 0.974 0.346
0.202 0.798 0.500
0.312 0.280 0.003
0.318 0.306 0.670
0.694 0.682 0.330
0.720 0.688 0.997
0.798 0.202 0.500
0.816 0.180 0.172
0.820 0.184 0.828
0.207 0.783 0.170
0.217 0.793 0.830
0.304 0.284 0.329
0.716 0.696 0.671
```


# 8
Calculated powder diffraction line list
Compound: VOF2
Radiation: Cu Kα (weighted mean of Kα1 and Kα2)
Structure: the PBE+U geometry in the Materials Project
Kinematic intensities with the Lorentz-polarization factor, no thermal factor.

Largest 8 diffraction maxima, in order of rising 2θ, 10° ≤ 2θ ≤ 80°:
two_theta, Rel. int.
23.45, 100
23.96, 97
24.07, 98
40.35, 22
47.96, 23
49.05, 18
49.30, 19
53.74, 15

Cell and atoms:
```
VOF2
1.0
5.172 0.000 0.000
2.533 4.536 0.000
2.578 -1.293 8.895
V O F
4 4 8
direct
0.000 0.000 0.000
0.000 0.500 0.500
0.446 0.266 0.750
0.554 0.734 0.250
0.173 0.209 0.871
0.256 0.451 0.628
0.744 0.549 0.372
0.827 0.791 0.129
0.166 0.723 0.373
0.249 0.967 0.130
0.355 0.116 0.370
0.358 0.609 0.871
0.642 0.391 0.129
0.645 0.884 0.630
0.751 0.033 0.870
0.834 0.277 0.627
```


Number 5 is which compound? V6O5F19